Computed powder diffraction line list
Compound: PmAg2Pb
Radiation: Cu Kα
Structure: a DFT-relaxed cell (PBE, the Materials Project)

The 10 most intense peaks (15 to 90 degrees two-theta), low angle first:
index, 2theta, I (rel.)
1 1 1, 21.18, 2
2 0 0, 24.50, 6
2 2 0, 34.92, 100
2 2 2, 43.12, 2
4 0 0, 50.22, 18
4 2 0, 56.65, 3
4 2 2, 62.63, 36
4 4 0, 73.76, 11
6 0 0, 79.07, 1
6 2 0, 84.28, 16

```
data_PmAg2Pb
_cell_length_a 7.2668
_cell_length_b 7.2668
_cell_length_c 7.2668
_cell_angle_alpha 90.00
_cell_angle_beta 90.00
_cell_angle_gamma 90.00
_symmetry_space_group_name_H-M 'F m -3 m'
_symmetry_Int_Tables_number 225
_symmetry_space_group_name_Hall '-F 4 2 3'
loop_
_atom_site_label
_atom_site_type_symbol
_atom_site_fract_x
_atom_site_fract_y
_atom_site_fract_z
_atom_site_occupancy
Pm1 Pm 0.0000 0.0000 0.0000 1
Ag1 Ag 0.2500 0.2500 0.2500 1
Pb1 Pb 0.0000 0.0000 0.5000 1
```